Computed powder diffractogram
Compound: NaV5O10
Radiation: Cu Kα (λ = 1.5418 Å)
Structure: a cell relaxed with GGA+U
No peak broadening, texture or thermal motion is included.

Peak list (12 most intense, 5 to 70 degrees two-theta, sorted by position)
2theta, d (Å), Rel. int.
21.41, 4.149, 63.0
22.51, 3.949, 66.5
26.89, 3.315, 59.5
28.57, 3.124, 100.0
34.04, 2.634, 23.7
34.53, 2.597, 68.2
34.99, 2.564, 24.0
35.21, 2.549, 24.6
45.89, 1.978, 56.9
47.35, 1.920, 25.9
49.05, 1.857, 27.9
53.48, 1.713, 34.1

Atomic structure:
```
data_NaV5O10
_symmetry_space_group_name_H-M 'P 1'
_symmetry_Int_Tables_number 1
_cell_length_a 5.6153
_cell_length_b 5.6813
_cell_length_c 7.0835
_cell_angle_alpha 68.52
_cell_angle_beta 83.98
_cell_angle_gamma 66.13
loop_
_symmetry_equiv_pos_as_xyz
'x,y,z'
loop_
_atom_site_label
_atom_site_type_symbol
_atom_site_fract_x
_atom_site_fract_y
_atom_site_fract_z
Na1 Na 0.0000 0.0000 0.0000
V1 V 0.0101 0.5238 0.6904
V2 V 0.0248 0.0767 0.4639
V3 V 0.4955 0.3028 0.0869
V4 V 0.5220 0.7264 0.3170
V5 V 0.5274 0.8535 0.8489
O1 O 0.1973 0.4061 0.9098
O2 O 0.2231 0.0832 0.7028
O3 O 0.2280 0.6919 0.4969
O4 O 0.3465 0.0886 0.3194
O5 O 0.3793 0.6685 0.1117
O6 O 0.6475 0.9257 0.0562
O7 O 0.6833 0.4932 0.8478
O8 O 0.8108 0.9021 0.6710
O9 O 0.8164 0.1821 0.2592
O10 O 0.8228 0.4971 0.4652
```